Record 1
CePr6Sm: simulated X-ray powder pattern (copper Kα), based on a DFT-relaxed cell (PBE, Alexandria).
Peak positions follow from Bragg's law for the DFT cell and can differ from measured ones.

Atomic structure:
Lattice parameters (Å, degrees): 9.015 8.239 6.375 74.97 61.96 43.07
Sites, in units of the cell vectors:
Ce 0.000 0.000 0.000
Pr 0.122 0.122 0.378
Pr 0.248 0.248 0.752
Pr 0.378 0.378 0.122
Pr 0.622 0.622 0.878
Pr 0.752 0.752 0.248
Pr 0.878 0.878 0.622
Sm 0.500 0.500 0.500

The 10 most intense peaks (15 to 90 degrees two-theta), low angle first:
2θ (°)	Rel. int.
29.71	100.0
34.40	33.8
34.51	16.8
49.39	6.1
49.52	30.1
58.75	28.7
58.90	14.4
61.69	12.4
80.39	14.4
82.86	8.0



Record 2
Na8SnPb2: simulated X-ray powder pattern (copper Kα), based on a DFT-relaxed cell (PBE, Alexandria).
Peak positions follow from Bragg's law for the DFT cell and can differ from measured ones.

Atomic structure:
Lattice parameters (Å, degrees): 8.176 8.176 5.279 90.00 90.00 104.24
Sites, in units of the cell vectors:
Na 0.038 0.294 0.500
Na 0.245 0.755 0.000
Na 0.294 0.038 0.500
Na 0.328 0.328 0.000
Na 0.672 0.672 0.000
Na 0.706 0.962 0.500
Na 0.755 0.245 0.000
Na 0.962 0.706 0.500
Sn 0.000 0.000 0.000
Pb 0.383 0.617 0.500
Pb 0.617 0.383 0.500

The 10 most intense peaks (15 to 90 degrees two-theta), low angle first:
2θ (°)	Rel. int.
16.79	17.7
17.67	48.9
20.21	76.8
22.48	21.6
32.47	100.0
33.95	40.0
37.25	30.9
38.53	15.1
44.31	19.6
49.09	22.5



Record 3
Pa4PN6: simulated X-ray powder pattern (copper Kα), based on a DFT-relaxed cell (PBE, Alexandria).
Peak positions follow from Bragg's law for the DFT cell and can differ from measured ones.

Atomic structure:
Lattice parameters (Å, degrees): 11.802 11.802 11.802 161.25 161.25 26.64
Sites, in units of the cell vectors:
Pa 0.082 0.082 0.000
Pa 0.307 0.307 0.000
Pa 0.693 0.693 0.000
Pa 0.918 0.918 0.000
P 0.500 0.500 0.000
N 0.128 0.628 0.500
N 0.250 0.750 0.500
N 0.372 0.872 0.500
N 0.628 0.128 0.500
N 0.750 0.250 0.500
N 0.872 0.372 0.500

The 10 most intense peaks (15 to 90 degrees two-theta), low angle first:
2θ (°)	Rel. int.
23.46	10.4
25.93	27.4
30.31	100.0
32.94	39.6
45.97	22.7
47.27	20.6
52.12	14.3
57.19	34.6
57.39	16.0
77.45	13.6



Record 4
Na8TiTe6: simulated X-ray powder pattern (copper Kα), based on a DFT-relaxed cell (PBE, Alexandria).
Peak positions follow from Bragg's law for the DFT cell and can differ from measured ones.

Atomic structure:
Lattice parameters (Å, degrees): 8.785 9.212 12.733 90.00 90.00 90.00
Sites, in units of the cell vectors:
Na 0.000 0.123 0.000
Na 0.000 0.250 0.446
Na 0.181 0.620 0.115
Na 0.199 0.565 0.813
Na 0.231 0.921 0.759
Na 0.269 0.079 0.259
Na 0.301 0.435 0.313
Na 0.319 0.380 0.615
Na 0.500 0.750 0.946
Na 0.500 0.877 0.500
Na 0.681 0.380 0.615
Na 0.699 0.435 0.313
Na 0.731 0.079 0.259
Na 0.769 0.921 0.759
Na 0.801 0.565 0.813
Na 0.819 0.620 0.115
Ti 0.000 0.752 0.462
Ti 0.500 0.248 0.962
Te 0.000 0.307 0.211
Te 0.000 0.521 0.590
Te 0.000 0.778 0.940
Te 0.000 0.982 0.579
Te 0.242 0.761 0.341
Te 0.258 0.239 0.841
Te 0.500 0.018 0.079
Te 0.500 0.222 0.440
Te 0.500 0.479 0.090
Te 0.500 0.693 0.711
Te 0.742 0.239 0.841
Te 0.758 0.761 0.341

The 10 most intense peaks (15 to 90 degrees two-theta), low angle first:
2θ (°)	Rel. int.
19.73	59.9
22.89	82.6
23.07	32.6
23.28	50.3
23.50	100.0
23.84	83.1
24.62	86.6
36.39	48.8
40.09	91.2
41.11	40.5